Computed powder diffractogram
Compound: Li4Mn3NbFe2P6O24
Radiation: CuKα
Structure: a structure optimized by DFT (GGA+U)

Principal peaks in the range 5 to 70 degrees two-theta, in order of falling intensity:
- 2θ 19.51, I 100
- 2θ 34.19, I 50
- 2θ 32.56, I 43
- 2θ 23.37, I 40
- 2θ 23.48, I 40
- 2θ 23.61, I 39
- 2θ 32.75, I 39
- 2θ 32.97, I 36
- 2θ 34.04, I 25
- 2θ 48.01, I 18

Crystal structure
```
Li4Mn3NbFe2P6O24
1.0
8.5626 0.0000 0.0000
3.8460 7.7522 0.0000
3.8066 2.4303 7.3884
Li Mn Nb Fe P O
4 3 1 2 6 24
Cartesian
0.0000 0.0000 0.0000
6.3546 8.4784 3.6184
4.8110 4.2761 2.5734
10.2835 6.9432 5.8545
7.8457 7.3043 7.2678
9.0054 8.0197 2.1077
8.3761 2.2750 3.5920
13.2905 5.3724 5.8641
6.6408 6.4750 1.0018
10.7170 3.8557 4.7097
2.5513 2.3192 1.5062
5.2418 2.0043 5.1118
7.8441 5.6353 4.3009
6.8233 2.9166 0.6373
13.4659 8.8154 6.6023
12.2046 6.7223 2.9090
1.5407 2.3348 0.2924
4.3022 3.2917 5.4022
4.5478 6.1404 1.7527
3.6193 3.3907 1.2789
3.0519 0.8494 1.5674
6.3798 5.2008 4.7483
9.1627 9.0542 6.5224
8.3376 8.9596 4.0405
8.4264 6.5347 5.4042
7.6018 6.3905 2.9706
6.6337 2.3915 4.6820
6.1825 4.3570 0.4941
5.8225 1.7984 0.8299
8.7829 4.4240 4.1588
8.5847 6.7497 0.2574
7.8932 2.9635 1.6984
10.7582 6.9665 2.5487
11.2653 5.1342 6.5419
9.6823 2.0447 5.4135
13.0614 7.3518 6.1022
12.9173 7.9708 3.4245
14.8901 8.7412 7.1749
12.2052 5.5347 4.0020
10.4844 2.6146 2.8925
```

Computed powder diffractogram
Compound: V4OF11
Radiation: CuKα
Structure: a structure optimized by DFT (GGA+U)

Principal peaks in the range 5 to 70 degrees two-theta, in order of falling intensity:
- 2θ 23.51, I 100
- 2θ 23.41, I 49
- 2θ 53.35, I 24
- 2θ 32.84, I 21
- 2θ 48.10, I 21
- 2θ 39.61, I 18
- 2θ 53.19, I 12
- 2θ 55.01, I 11
- 2θ 47.88, I 11
- 2θ 39.49, I 10

Crystal structure
```
V4OF11
1.0
4.7911 -2.6285 0.0000
4.7911 2.6285 0.0000
-3.7118 0.0000 17.3074
V O F
8 2 22
Cartesian
-0.1395 0.0000 3.3619
-0.2895 0.1331 9.7347
-0.4890 0.0390 16.2154
3.0446 0.1412 5.3886
2.8258 0.1412 11.9188
6.3594 0.0390 1.0920
6.1600 0.1331 7.5727
6.0099 0.0000 13.9455
1.8824 1.6570 12.7021
3.9880 1.6570 4.6053
1.4495 0.6402 4.3369
0.1641 1.1534 14.7163
2.3704 1.1858 6.9304
-2.1033 -0.4423 15.1796
3.5000 1.1858 10.3770
4.7911 0.5612 0.0000
0.3676 -0.9271 8.2166
5.7064 1.1534 2.5911
1.2665 -0.4044 10.8232
2.5527 -1.0047 0.4148
2.0648 -1.4318 6.0605
4.4209 0.6402 12.9705
3.7209 -0.9741 3.8684
0.5328 -1.5224 15.4677
4.6039 -0.4044 6.4843
2.1495 -0.9741 13.4391
2.9352 -1.9526 8.6537
5.3376 -1.5224 1.8398
3.3177 -1.0047 16.8926
3.8057 -1.4318 11.2469
5.5028 -0.9271 9.0908
7.9737 -0.4423 2.1279
```

Computed powder diffractogram
Compound: Ca3V2Si4O14
Radiation: CuKα
Structure: a structure optimized by DFT (GGA+U)

Principal peaks in the range 5 to 70 degrees two-theta, in order of falling intensity:
- 2θ 27.74, I 100
- 2θ 28.56, I 79
- 2θ 31.82, I 77
- 2θ 39.02, I 68
- 2θ 31.20, I 61
- 2θ 31.34, I 57
- 2θ 28.69, I 36
- 2θ 30.14, I 35
- 2θ 35.24, I 34
- 2θ 39.66, I 33

Crystal structure
```
Ca3V2Si4O14
1.0
8.6138 -3.8808 0.0000
8.6138 3.8808 0.0000
-5.7483 0.0000 8.4240
Ca V Si O
6 4 8 28
Cartesian
4.3026 2.7168 6.3180
2.0821 0.2777 4.5199
4.9562 -0.2777 0.3079
6.5230 0.2777 8.1162
9.3971 -0.2777 3.9041
7.1767 -2.7168 2.1060
7.1767 1.5779 2.1060
8.6138 0.0000 0.0000
5.7396 0.0000 4.2120
4.3026 -1.5779 6.3180
4.4079 2.6526 2.9723
0.7322 2.2531 7.1369
9.9455 2.6526 1.2397
7.8729 2.2531 5.4992
3.6063 -2.2531 2.9248
1.5338 -2.6526 7.1843
10.7471 -2.2531 1.2872
7.0714 -2.6526 5.4518
-0.8459 1.7365 6.8950
12.3251 -1.7365 1.5290
1.5583 2.2321 5.7523
5.8930 3.1597 2.6018
8.4604 3.1597 1.6102
2.3250 0.0537 0.7568
-0.5492 -0.0537 4.9688
4.2777 1.5974 4.2210
1.2149 1.3050 8.3743
4.3274 1.5974 8.4150
5.7805 0.2646 2.3018
7.0468 2.2321 6.8838
7.3902 1.3050 4.2617
2.0283 -1.7365 2.6830
2.9063 -0.2646 6.5138
8.5729 0.2646 1.9103
9.4510 1.7365 5.7411
4.0890 -1.3050 4.1623
4.4325 -2.2321 1.5403
5.6988 -0.2646 6.1223
7.1518 -1.5974 0.0090
10.2644 -1.3050 0.0497
7.2016 -1.5974 4.2030
12.0284 0.0537 3.4552
9.1543 -0.0537 7.6672
3.0189 -3.1597 6.8139
5.5862 -3.1597 5.8222
9.9209 -2.2321 2.6717
```